The following is a calculated powder diffractogram of FePH6N2O4. It was derived from a cell relaxed with GGA+U, using Cu Kα X-rays.

Principal peaks in the range 5° ≤ 2θ ≤ 70°, sorted by position:
| (hkl) | 2θ/deg | I/Imax |
| --- | --- | --- |
| 1 0 1 | 14.40 | 1000 |
| 2 0 0 | 17.32 | 247 |
| 0 1 1 | 17.94 | 310 |
| 0 0 2 | 23.11 | 159 |
| 0 2 0 | 27.65 | 486 |
| 1 1 2 | 28.37 | 141 |
| 3 0 1 | 28.61 | 358 |
| 0 1 3 | 37.73 | 152 |
| 2 0 3 | 39.27 | 108 |
| 3 1 4 | 56.74 | 94 |

Atomic structure:
a b c (Å): 10.239 6.453 7.698
angles (deg): 90.00 90.00 90.00
Fractional positions:
Fe (0.159, 0.250, 0.088)
Fe (0.341, 0.750, 0.588)
Fe (0.659, 0.250, 0.412)
Fe (0.841, 0.750, 0.912)
P (0.161, 0.750, 0.957)
P (0.339, 0.250, 0.457)
P (0.661, 0.750, 0.543)
P (0.839, 0.250, 0.043)
H (0.047, 0.122, 0.792)
H (0.047, 0.378, 0.792)
H (0.075, 0.750, 0.587)
H (0.129, 0.622, 0.411)
H (0.129, 0.878, 0.411)
H (0.180, 0.250, 0.730)
H (0.320, 0.750, 0.230)
H (0.371, 0.122, 0.911)
H (0.371, 0.378, 0.911)
H (0.425, 0.250, 0.087)
H (0.453, 0.622, 0.292)
H (0.453, 0.878, 0.292)
H (0.547, 0.122, 0.708)
H (0.547, 0.378, 0.708)
H (0.575, 0.750, 0.913)
H (0.629, 0.622, 0.089)
H (0.629, 0.878, 0.089)
H (0.680, 0.250, 0.770)
H (0.820, 0.750, 0.270)
H (0.871, 0.122, 0.589)
H (0.871, 0.378, 0.589)
H (0.925, 0.250, 0.413)
H (0.953, 0.622, 0.208)
H (0.953, 0.878, 0.208)
N (0.103, 0.250, 0.815)
N (0.142, 0.750, 0.488)
N (0.358, 0.250, 0.988)
N (0.397, 0.750, 0.315)
N (0.603, 0.250, 0.685)
N (0.642, 0.750, 0.012)
N (0.858, 0.250, 0.512)
N (0.897, 0.750, 0.185)
O (0.033, 0.750, 0.846)
O (0.165, 0.560, 0.080)
O (0.165, 0.940, 0.080)
O (0.219, 0.250, 0.336)
O (0.281, 0.750, 0.836)
O (0.335, 0.060, 0.580)
O (0.335, 0.440, 0.580)
O (0.467, 0.250, 0.346)
O (0.533, 0.750, 0.654)
O (0.665, 0.560, 0.420)
O (0.665, 0.940, 0.420)
O (0.719, 0.250, 0.164)
O (0.781, 0.750, 0.664)
O (0.835, 0.060, 0.920)
O (0.835, 0.440, 0.920)
O (0.967, 0.250, 0.154)